FeAgI4: calculated XRD peak list (a wavelength of 1.5418 Å), based on a cell relaxed with GGA-PBE.
Kinematic intensities with the Lorentz-polarization factor, no thermal factor.

Structural model:
```
data_FeAgI4
_chemical_formula_sum 'Fe2 Ag2 I8'
_symmetry_space_group_name_H-M 'P -4 2 c'
_symmetry_Int_Tables_number 112
_cell_length_a 6.5805
_cell_length_b 6.5805
_cell_length_c 11.8730
_cell_angle_alpha 90.00
_cell_angle_beta 90.00
_cell_angle_gamma 90.00
loop_
_symmetry_equiv_pos_as_xyz
'x,y,z'
'y,-x,-z'
'-x,-y,z'
'-y,x,-z'
'x,-y,-z+1/2'
'y,x,z+1/2'
'-x,y,-z+1/2'
'-y,-x,z+1/2'
loop_
_atom_site_label
_atom_site_type_symbol
_atom_site_fract_x
_atom_site_fract_y
_atom_site_fract_z
Fe1 Fe 0.0000 0.5000 0.2500
Ag1 Ag 0.0000 0.0000 0.0000
I1 I 0.2357 0.2788 0.3709
```

The 8 most intense peaks (2θ from 10° to 90°), by intensity:
2theta, I/Imax, h k l
24.30, 100, 1 1 2
40.95, 39, 2 0 4
46.23, 30, 3 1 2
38.70, 21, 2 2 0
27.10, 13, 2 0 0
50.09, 13, 1 1 6
15.39, 13, 1 0 1
71.57, 11, 4 2 4